Diffraction record for HoPaTeO6. The powder diffractogram is computed, not measured: it uses a GGA-PBE-relaxed structure and λ = 1.5418 Å (Cu Kα).
Neutral-atom scattering factors, no anomalous dispersion.

```
data_HoPaTeO6
_cell_length_a 5.6553
_cell_length_b 5.6553
_cell_length_c 9.6101
_cell_angle_alpha 90.00
_cell_angle_beta 90.00
_cell_angle_gamma 120.00
_symmetry_space_group_name_H-M 'P 1'
_symmetry_Int_Tables_number 1
loop_
_symmetry_equiv_pos_as_xyz
'x,y,z'
loop_
_atom_site_label
_atom_site_fract_x
_atom_site_fract_y
_atom_site_fract_z
Ho1 0.3333 0.6667 0.2500
Ho2 0.6667 0.3333 0.7500
Pa1 0.0000 0.0000 0.0000
Pa2 0.0000 0.0000 0.5000
Te1 0.3333 0.6667 0.7500
Te2 0.6667 0.3333 0.2500
O1 0.0097 0.3296 0.6289
O2 0.0097 0.6801 0.8711
O3 0.3199 0.3296 0.8711
O4 0.3199 0.9903 0.6289
O5 0.3296 0.0097 0.1289
O6 0.3296 0.3199 0.3711
O7 0.6704 0.6801 0.6289
O8 0.6704 0.9903 0.8711
O9 0.6801 0.0097 0.3711
O10 0.6801 0.6704 0.1289
O11 0.9903 0.3199 0.1289
O12 0.9903 0.6704 0.3711
```

Most intense lines, 10 to 90 degrees two-theta, in order of falling intensity:
two_theta  I/Imax  hkl
25.98  100  1 0 2
31.64  47  1 1 0
49.80  39  1 1 4
41.38  30  2 0 2
53.01  29  3 -1 2
56.36  15  3 0 0
72.28  12  3 1 2
78.50  10  4 -2 4